For AlH4NF4, a cell relaxed with PBE gives the calculated X-ray diffraction stick pattern in this record (Cu Kα (λ = 1.5418 Å)).
Peak positions follow from Bragg's law for the DFT cell and can differ from measured ones.

Cell and atoms:
Lattice parameters (Å, degrees): 5.1148 5.1148 12.9260 90.00 90.00 90.00
Atoms (fractional coordinates):
Al1 0.0000 0.5000 0.0000
Al2 0.0000 0.5000 0.5000
Al3 0.5000 0.0000 0.0000
Al4 0.5000 0.0000 0.5000
H1 0.0015 0.1655 0.2036
H2 0.0015 0.1655 0.7964
H3 0.1655 0.9985 0.2964
H4 0.1655 0.9985 0.7036
H5 0.3345 0.4985 0.2964
H6 0.3345 0.4985 0.7036
H7 0.4985 0.6655 0.2036
H8 0.4985 0.6655 0.7964
H9 0.5015 0.3345 0.2036
H10 0.5015 0.3345 0.7964
H11 0.6655 0.5015 0.2964
H12 0.6655 0.5015 0.7036
H13 0.8345 0.0015 0.2964
H14 0.8345 0.0015 0.7036
H15 0.9985 0.8345 0.2036
H16 0.9985 0.8345 0.7964
N1 0.0000 0.0000 0.2500
N2 0.0000 0.0000 0.7500
N3 0.5000 0.5000 0.2500
N4 0.5000 0.5000 0.7500
F1 0.0000 0.5000 0.1398
F2 0.0000 0.5000 0.3602
F3 0.0000 0.5000 0.6398
F4 0.0000 0.5000 0.8602
F5 0.2030 0.2027 0.0000
F6 0.2027 0.7970 0.5000
F7 0.2973 0.2970 0.5000
F8 0.2970 0.7027 0.0000
F9 0.5000 0.0000 0.1398
F10 0.5000 0.0000 0.3602
F11 0.5000 0.0000 0.6398
F12 0.5000 0.0000 0.8602
F13 0.7030 0.2973 0.0000
F14 0.7027 0.7030 0.5000
F15 0.7973 0.2030 0.5000
F16 0.7970 0.7973 0.0000

Principal peaks in the range 10° ≤ 2θ ≤ 90°, by angle:
hkl 0 0 2, 13.7°, rel. 100; hkl 1 1 0, 24.6°, rel. 69; hkl 1 1 2, 28.3°, rel. 50; hkl 2 0 0, 35.1°, rel. 29; hkl 2 2 0, 50.5°, rel. 40; hkl 0 0 8, 57.0°, rel. 33